The following is a calculated powder XRD pattern of Tb5Ho5Sc2. It was derived from a structure optimized by DFT (PBE), using Cu Kα (weighted mean of Kα1 and Kα2).
No peak broadening, texture or thermal motion is included.

Main lines, in order of rising 2θ (2θ = 5–70°):
32.0°, d = 2.795 Å, I = 100
32.5°, d = 2.756 Å, I = 100
46.3°, d = 1.963 Å, I = 36
57.6°, d = 1.599 Å, I = 24
58.0°, d = 1.590 Å, I = 13
63.7°, d = 1.462 Å, I = 29

Crystal structure
```
data_Tb5Ho5Sc2
_chemical_formula_sum 'Tb5 Ho5 Sc2'
_cell_length_a 6.5035
_cell_length_b 6.5035
_cell_length_c 11.7895
_cell_angle_alpha 106.60
_cell_angle_beta 106.60
_cell_angle_gamma 50.09
_symmetry_space_group_name_H-M 'P 1'
_symmetry_Int_Tables_number 1
loop_
_symmetry_equiv_pos_as_xyz
'x,y,z'
loop_
_atom_site_label
_atom_site_type_symbol
_atom_site_fract_x
_atom_site_fract_y
_atom_site_fract_z
Tb1 Tb 0.0000 0.0000 0.0000
Tb2 Tb 0.0363 0.0363 0.7141
Tb3 Tb 0.2072 0.2072 0.5471
Tb4 Tb 0.7928 0.7928 0.4529
Tb5 Tb 0.9637 0.9637 0.2859
Ho1 Ho 0.2514 0.2514 0.2481
Ho2 Ho 0.2969 0.2969 0.9549
Ho3 Ho 0.5000 0.5000 0.5000
Ho4 Ho 0.7031 0.7031 0.0451
Ho5 Ho 0.7486 0.7486 0.7519
Sc1 Sc 0.4617 0.4617 0.7905
Sc2 Sc 0.5383 0.5383 0.2095
```



The following is a calculated powder XRD pattern of Dy4Zn2CdCu. It was derived from a structure optimized by DFT (PBE), using Cu Kα (weighted mean of Kα1 and Kα2).
No peak broadening, texture or thermal motion is included.

Main lines, in order of rising 2θ (2θ = 5–70°):
24.8°, d = 3.591 Å, I = 25
35.3°, d = 2.544 Å, I = 100
35.4°, d = 2.535 Å, I = 93
50.9°, d = 1.796 Å, I = 33
63.4°, d = 1.467 Å, I = 51
63.7°, d = 1.462 Å, I = 14

Crystal structure
```
data_Dy4Zn2CdCu
_chemical_formula_sum 'Dy4 Zn2 Cd1 Cu1'
_cell_length_a 8.7711
_cell_length_b 8.7711
_cell_length_c 8.7711
_cell_angle_alpha 33.72
_cell_angle_beta 33.72
_cell_angle_gamma 33.72
_symmetry_space_group_name_H-M 'P 1'
_symmetry_Int_Tables_number 1
loop_
_symmetry_equiv_pos_as_xyz
'x,y,z'
loop_
_atom_site_label
_atom_site_type_symbol
_atom_site_fract_x
_atom_site_fract_y
_atom_site_fract_z
Dy1 Dy 0.1189 0.1189 0.1189
Dy2 Dy 0.3697 0.3697 0.3697
Dy3 Dy 0.6303 0.6303 0.6303
Dy4 Dy 0.8811 0.8811 0.8811
Zn1 Zn 0.2455 0.2455 0.2455
Zn2 Zn 0.7545 0.7545 0.7545
Cd1 Cd 0.5000 0.5000 0.5000
Cu1 Cu 0.0000 0.0000 0.0000
```



The following is a calculated powder XRD pattern of Ca2SmWN4. It was derived from a structure optimized by DFT (PBE), using Cu Kα (weighted mean of Kα1 and Kα2).
No peak broadening, texture or thermal motion is included.

Main lines, in order of rising 2θ (2θ = 5–70°):
21.3°, d = 4.170 Å, I = 64
26.7°, d = 3.334 Å, I = 49
31.4°, d = 2.846 Å, I = 59
31.7°, d = 2.823 Å, I = 100
33.8°, d = 2.652 Å, I = 42
59.0°, d = 1.566 Å, I = 40

Crystal structure
```
data_Ca2SmWN4
_chemical_formula_sum 'Ca4 Sm2 W2 N8'
_cell_length_a 7.6699
_cell_length_b 6.7462
_cell_length_c 5.3048
_cell_angle_alpha 90.00
_cell_angle_beta 90.00
_cell_angle_gamma 90.00
_symmetry_space_group_name_H-M 'P 1'
_symmetry_Int_Tables_number 1
loop_
_symmetry_equiv_pos_as_xyz
'x,y,z'
loop_
_atom_site_label
_atom_site_type_symbol
_atom_site_fract_x
_atom_site_fract_y
_atom_site_fract_z
Ca1 Ca 0.2492 0.1592 0.0000
Ca2 Ca 0.2508 0.8408 0.5000
Ca3 Ca 0.7492 0.8408 0.5000
Ca4 Ca 0.7508 0.1592 0.0000
Sm1 Sm 0.0000 0.6573 0.0006
Sm2 Sm 0.5000 0.3427 0.5006
W1 W 0.0000 0.3343 0.5371
W2 W 0.5000 0.6657 0.0371
N1 N 0.0000 0.3340 0.8897
N2 N 0.0000 0.6161 0.4638
N3 N 0.2131 0.2011 0.4581
N4 N 0.2869 0.7989 0.9581
N5 N 0.5000 0.3839 0.9638
N6 N 0.5000 0.6660 0.3897
N7 N 0.7131 0.7989 0.9581
N8 N 0.7869 0.2011 0.4581
```